Structure and calculated X-ray powder pattern of Hf2P2SO12 (DFT lattice parameters and positions (PBE); Cu Kα X-rays).
Peak positions follow from Bragg's law for the DFT cell and can differ from measured ones.

Crystal structure
Lattice parameters (Å, degrees): 8.893 8.893 9.216 119.00 119.00 59.92
Atoms (fractional coordinates):
Hf 0.239 0.761 0.500
Hf 0.462 0.959 0.136
Hf 0.761 0.239 0.000
Hf 0.959 0.462 0.636
P 0.067 0.143 0.819
P 0.143 0.067 0.319
P 0.640 0.854 0.818
P 0.854 0.640 0.318
S 0.355 0.564 0.818
S 0.564 0.355 0.318
O 0.025 0.668 0.349
O 0.035 0.312 0.787
O 0.096 0.972 0.657
O 0.109 0.235 0.481
O 0.171 0.895 0.344
O 0.191 0.538 0.794
O 0.235 0.109 0.981
O 0.312 0.035 0.287
O 0.331 0.591 0.662
O 0.376 0.726 0.975
O 0.399 0.516 0.345
O 0.472 0.825 0.655
O 0.516 0.399 0.845
O 0.538 0.191 0.294
O 0.591 0.331 0.162
O 0.609 0.878 0.980
O 0.668 0.025 0.849
O 0.684 0.811 0.288
O 0.726 0.376 0.475
O 0.811 0.684 0.788
O 0.825 0.472 0.155
O 0.878 0.609 0.480
O 0.895 0.171 0.844
O 0.972 0.096 0.157

Largest 8 diffraction maxima, low angle first, 5 to 70 degrees two-theta:
2theta  I_rel
13.86  34
19.31  100
19.98  85
23.15  27
27.92  54
30.87  47
34.57  36
34.96  30